(1)
This entry pairs a crystal structure of Mg8ZnIn5 with its theoretical XRD peak list. Radiation: Cu Kα X-rays. Structure: a DFT-relaxed cell (PBE, Alexandria).
Lines closer than 0.1° are merged.

a b c (Å): 8.5076 8.5076 9.1691
angles (deg): 90.00 90.00 90.00
Space group I-4 (No. 82)
Unique sites:
Mg 0.0749 0.3083 0.4038 x8
Mg 0.0756 0.1673 0.7429 x8
Zn 0.0000 0.0000 0.5000 x2
In 0.0000 0.5000 0.7500 x2
In 0.1090 0.2293 0.0679 x8

Top 10 peaks for 2θ = 5–70°, by intensity:
25.34 deg, intensity 100
33.30 deg, intensity 64
37.75 deg, intensity 62
31.09 deg, intensity 42
24.41 deg, intensity 39
33.06 deg, intensity 39
39.43 deg, intensity 35
38.81 deg, intensity 33
14.20 deg, intensity 24
47.81 deg, intensity 23



(2)
This entry pairs a crystal structure of Mg5ZnIn6 with its theoretical XRD peak list. Radiation: Cu Kα X-rays. Structure: a DFT-relaxed cell (PBE, Alexandria).
Lines closer than 0.1° are merged.

a b c (Å): 14.3238 8.7371 4.6561
angles (deg): 90.00 108.88 90.00
Space group C2/m (No. 12)
Unique sites:
Mg 0.0000 0.0000 0.0000 x2
Mg 0.1576 0.5000 0.6589 x4
Mg 0.1698 0.0000 0.6683 x4
Zn 0.0000 0.5000 0.0000 x2
In 0.0000 0.2460 0.5000 x4
In 0.1654 0.2506 0.1659 x8

Top 10 peaks for 2θ = 5–70°, by intensity:
34.45 deg, intensity 100
20.33 deg, intensity 29
27.51 deg, intensity 28
38.68 deg, intensity 18
39.91 deg, intensity 16
41.33 deg, intensity 15
68.98 deg, intensity 12
56.79 deg, intensity 11
57.89 deg, intensity 11
50.37 deg, intensity 10



(3)
This entry pairs a crystal structure of Mg8Zn3In3 with its theoretical XRD peak list. Radiation: Cu Kα X-rays. Structure: a DFT-relaxed cell (PBE, Alexandria).
Lines closer than 0.1° are merged.

a b c (Å): 12.6367 11.0880 4.5685
angles (deg): 90.00 103.39 90.00
Space group C2/m (No. 12)
Unique sites:
Mg 0.1220 0.1353 0.1015 x8
Mg 0.1405 0.3071 0.6113 x8
Zn 0.0000 0.3638 0.0000 x4
Zn 0.0000 0.5000 0.5000 x2
In 0.0000 0.0000 0.5000 x2
In 0.2217 0.5000 0.2100 x4

Top 10 peaks for 2θ = 5–70°, by intensity:
15.99 deg, intensity 100
33.35 deg, intensity 92
21.19 deg, intensity 78
31.84 deg, intensity 62
39.81 deg, intensity 62
33.99 deg, intensity 55
31.24 deg, intensity 50
38.38 deg, intensity 43
35.35 deg, intensity 43
35.68 deg, intensity 34



(4)
This entry pairs a crystal structure of Mg2ZrIn5 with its theoretical XRD peak list. Radiation: Cu Kα X-rays. Structure: a DFT-relaxed cell (PBE, Alexandria).
Lines closer than 0.1° are merged.

a b c (Å): 7.7046 7.7046 6.3696
angles (deg): 90.00 90.00 90.00
Space group I4/mmm (No. 139)
Unique sites:
Mg 0.0000 0.5000 0.0000 x4
Zr 0.0000 0.0000 0.0000 x2
In 0.0000 0.0000 0.5000 x2
In 0.2500 0.2500 0.2500 x8

Top 10 peaks for 2θ = 5–70°, by intensity:
36.61 deg, intensity 100
32.88 deg, intensity 67
61.16 deg, intensity 43
47.19 deg, intensity 24
16.27 deg, intensity 18
68.22 deg, intensity 15
23.09 deg, intensity 13
68.95 deg, intensity 7
32.57 deg, intensity 7
57.91 deg, intensity 6



(5)
This entry pairs a crystal structure of MgZrIn with its theoretical XRD peak list. Radiation: Cu Kα X-rays. Structure: a DFT-relaxed cell (PBE, Alexandria).
Lines closer than 0.1° are merged.

a b c (Å): 4.2083 4.2083 15.3196
angles (deg): 90.00 90.00 90.00
Space group I4/mmm (No. 139)
Unique sites:
Mg 0.0000 0.5000 0.0000 x4
Zr 0.0000 0.0000 0.1688 x4
In 0.0000 0.0000 0.3596 x4

Top 10 peaks for 2θ = 5–70°, by intensity:
30.03 deg, intensity 100
38.30 deg, intensity 94
42.98 deg, intensity 60
32.27 deg, intensity 46
23.22 deg, intensity 44
35.15 deg, intensity 32
56.69 deg, intensity 31
46.89 deg, intensity 29
11.55 deg, intensity 27
36.27 deg, intensity 26



(6)
This entry pairs a crystal structure of MgZrIn with its theoretical XRD peak list. Radiation: Cu Kα X-rays. Structure: a DFT-relaxed cell (PBE, Alexandria).
Lines closer than 0.1° are merged.

a b c (Å): 3.2304 3.2304 12.8328
angles (deg): 90.00 90.00 90.00
Space group I4mm (No. 107)
Unique sites:
Mg 0.0000 0.0000 0.0000 x2
Zr 0.0000 0.0000 0.6701 x2
In 0.0000 0.0000 0.3361 x2

Top 10 peaks for 2θ = 5–70°, by intensity:
34.80 deg, intensity 100
39.45 deg, intensity 35
13.80 deg, intensity 28
68.56 deg, intensity 26
59.18 deg, intensity 21
28.49 deg, intensity 20
42.26 deg, intensity 14
57.02 deg, intensity 12
41.98 deg, intensity 7
45.12 deg, intensity 6